The following is a calculated powder diffractogram of Li3AgSn4. It was derived from a PBE-relaxed structure, using λ = 1.5418 Å (Cu Kα).
Intensities are scaled so that the largest is 100.

Peak list (10 most intense, 10 to 80 degrees two-theta, sorted by position)
| 2θ/deg | I/Imax |
| --- | --- |
| 10.04 | 14.2 |
| 20.45 | 32.6 |
| 28.54 | 29.4 |
| 35.37 | 100.0 |
| 40.63 | 17.1 |
| 40.97 | 16.7 |
| 41.60 | 16.0 |
| 70.54 | 13.9 |
| 70.99 | 13.6 |
| 71.87 | 13.2 |

```
Li3AgSn4
1.0
4.3422 0.0000 0.0000
0.0000 4.4405 0.0000
0.0000 0.0000 8.8124
Li Ag Sn
3 1 4
Cartesian
0.0000 0.0000 0.0000 Li
0.0000 2.2203 2.2668 Li
0.0000 2.2203 6.5456 Li
0.0000 0.0000 4.4062 Ag
2.1711 0.0000 2.1918 Sn
2.1711 0.0000 6.6206 Sn
2.1711 2.2203 0.0000 Sn
2.1711 2.2203 4.4062 Sn
```